Starting from a DFT-relaxed cell (GGA-PBE, the Materials Project), the powder diffraction line list of SrP2Pd2 was simulated for CuKα.

Atomic structure:
Cell: 5.7688 5.7688 5.7688 Å, 136.45 136.45 63.28°
Atoms (fractional coordinates):
1 Sr 0.0000 0.0000 0.0000
2 P 0.3857 0.3857 0.0000
3 P 0.6143 0.6143 0.0000
4 Pd 0.2500 0.7500 0.5000
5 Pd 0.7500 0.2500 0.5000

Largest 10 diffraction maxima, low angle first, 10 to 90 degrees two-theta:
| 2θ (°) | d/Å | I/Imax |
| --- | --- | --- |
| 18.1 | 4.911 | 19 |
| 34.5 | 2.600 | 16 |
| 34.8 | 2.576 | 100 |
| 36.6 | 2.456 | 13 |
| 42.2 | 2.140 | 39 |
| 47.7 | 1.907 | 14 |
| 57.1 | 1.613 | 15 |
| 61.3 | 1.513 | 13 |
| 64.7 | 1.440 | 13 |
| 72.4 | 1.305 | 23 |